Diffraction record for Pu2PaMnC4. The powder XRD pattern is computed, not measured: it uses a cell relaxed with PBE and Cu Ka.
Intensities are scaled so that the largest is 100.

Crystal structure
```
Pu2PaMnC4
1.0
1.710 -5.648 0.000
1.710 5.648 0.000
0.000 0.000 11.725
Pu Pa Mn C
4 2 2 8
Direct
0.135 0.865 0.547 Pu
0.135 0.865 0.953 Pu
0.865 0.135 0.047 Pu
0.865 0.135 0.453 Pu
0.398 0.602 0.750 Pa
0.602 0.398 0.250 Pa
0.342 0.658 0.250 Mn
0.658 0.342 0.750 Mn
0.062 0.938 0.750 C
0.229 0.771 0.135 C
0.229 0.771 0.365 C
0.500 0.500 0.000 C
0.500 0.500 0.500 C
0.771 0.229 0.635 C
0.771 0.229 0.865 C
0.938 0.062 0.250 C
```

Peak list (6 most intense, 10 to 90 degrees two-theta, sorted by position)
| d (Å) | I (rel.) |
| --- | --- |
| 3.214 | 89 |
| 2.857 | 100 |
| 2.824 | 51 |
| 2.474 | 32 |
| 2.324 | 62 |
| 1.906 | 34 |


Diffraction record for ScPa2MnC4. The powder XRD pattern is computed, not measured: it uses a cell relaxed with PBE and Cu Ka.
Intensities are scaled so that the largest is 100.

Crystal structure
```
ScPa2MnC4
1.0
1.741 -5.667 0.000
1.741 5.667 0.000
0.000 0.000 11.841
Sc Pa Mn C
2 4 2 8
Direct
0.130 0.870 0.750 Sc
0.870 0.130 0.250 Sc
0.366 0.634 0.546 Pa
0.366 0.634 0.954 Pa
0.634 0.366 0.046 Pa
0.634 0.366 0.454 Pa
0.148 0.852 0.250 Mn
0.852 0.148 0.750 Mn
0.000 0.000 0.000 C
0.000 0.000 0.500 C
0.266 0.734 0.136 C
0.266 0.734 0.364 C
0.419 0.581 0.750 C
0.581 0.419 0.250 C
0.734 0.266 0.636 C
0.734 0.266 0.864 C
```

Peak list (6 most intense, 10 to 90 degrees two-theta, sorted by position)
| d (Å) | I (rel.) |
| --- | --- |
| 5.921 | 100 |
| 3.239 | 70 |
| 2.901 | 90 |
| 2.834 | 62 |
| 2.558 | 59 |
| 2.350 | 96 |


Diffraction record for TbPa2MnC4. The powder XRD pattern is computed, not measured: it uses a cell relaxed with PBE and Cu Ka.
Intensities are scaled so that the largest is 100.

Crystal structure
```
TbPa2MnC4
1.0
1.772 -5.731 0.000
1.772 5.731 0.000
0.000 0.000 11.971
Tb Pa Mn C
2 4 2 8
Direct
0.112 0.888 0.750 Tb
0.888 0.112 0.250 Tb
0.366 0.634 0.548 Pa
0.366 0.634 0.952 Pa
0.634 0.366 0.048 Pa
0.634 0.366 0.452 Pa
0.159 0.841 0.250 Mn
0.841 0.159 0.750 Mn
0.000 0.000 0.000 C
0.000 0.000 0.500 C
0.263 0.737 0.131 C
0.263 0.737 0.369 C
0.411 0.589 0.750 C
0.589 0.411 0.250 C
0.737 0.263 0.631 C
0.737 0.263 0.869 C
```

Peak list (6 most intense, 10 to 90 degrees two-theta, sorted by position)
| d (Å) | I (rel.) |
| --- | --- |
| 3.275 | 89 |
| 2.993 | 26 |
| 2.946 | 100 |
| 2.865 | 58 |
| 2.383 | 78 |
| 1.955 | 37 |


Diffraction record for ThPa2MnC4. The powder XRD pattern is computed, not measured: it uses a cell relaxed with PBE and Cu Ka.
Intensities are scaled so that the largest is 100.

Crystal structure
```
ThPa2MnC4
1.0
1.780 -5.814 0.000
1.780 5.814 0.000
0.000 0.000 11.910
Th Pa Mn C
2 4 2 8
Direct
0.101 0.899 0.750 Th
0.899 0.101 0.250 Th
0.366 0.634 0.549 Pa
0.366 0.634 0.951 Pa
0.634 0.366 0.049 Pa
0.634 0.366 0.451 Pa
0.161 0.839 0.250 Mn
0.839 0.161 0.750 Mn
0.000 0.000 0.000 C
0.000 0.000 0.500 C
0.264 0.736 0.130 C
0.264 0.736 0.370 C
0.419 0.581 0.750 C
0.581 0.419 0.250 C
0.736 0.264 0.630 C
0.736 0.264 0.870 C
```

Peak list (6 most intense, 10 to 90 degrees two-theta, sorted by position)
| d (Å) | I (rel.) |
| --- | --- |
| 3.278 | 100 |
| 2.956 | 92 |
| 2.907 | 46 |
| 2.561 | 32 |
| 2.400 | 54 |
| 1.952 | 30 |


Question: Number 3 is which compound?
Answer: TbPa2MnC4


What did the second record say?
Diffraction record for ScPa2MnC4. The powder XRD pattern is computed, not measured: it uses a cell relaxed with PBE and Cu Ka.
Intensities are scaled so that the largest is 100.

Crystal structure
```
ScPa2MnC4
1.0
1.741 -5.667 0.000
1.741 5.667 0.000
0.000 0.000 11.841
Sc Pa Mn C
2 4 2 8
Direct
0.130 0.870 0.750 Sc
0.870 0.130 0.250 Sc
0.366 0.634 0.546 Pa
0.366 0.634 0.954 Pa
0.634 0.366 0.046 Pa
0.634 0.366 0.454 Pa
0.148 0.852 0.250 Mn
0.852 0.148 0.750 Mn
0.000 0.000 0.000 C
0.000 0.000 0.500 C
0.266 0.734 0.136 C
0.266 0.734 0.364 C
0.419 0.581 0.750 C
0.581 0.419 0.250 C
0.734 0.266 0.636 C
0.734 0.266 0.864 C
```

Peak list (6 most intense, 10 to 90 degrees two-theta, sorted by position)
| d (Å) | I (rel.) |
| --- | --- |
| 5.921 | 100 |
| 3.239 | 70 |
| 2.901 | 90 |
| 2.834 | 62 |
| 2.558 | 59 |
| 2.350 | 96 |